The following is a computed powder diffraction line list of UZn20Os2. It was derived from a crystal structure in the Materials Project, relaxed with PBE, using copper Kα.
Neutral-atom scattering factors, no anomalous dispersion.

Cell and atoms:
```
UZn20Os2
1.0
0.000 7.159 7.159
7.159 0.000 7.159
7.159 7.159 0.000
U Zn Os
2 40 4
Direct
0.125 0.125 0.125
0.875 0.875 0.875
0.000 0.000 0.000
0.000 0.000 0.500
0.000 0.500 0.000
0.057 0.323 0.323
0.057 0.323 0.797
0.057 0.797 0.323
0.203 0.677 0.677
0.203 0.677 0.943
0.203 0.943 0.677
0.237 0.237 0.513
0.237 0.513 0.237
0.237 0.513 0.513
0.323 0.057 0.323
0.323 0.057 0.797
0.323 0.323 0.057
0.323 0.323 0.797
0.323 0.797 0.057
0.323 0.797 0.323
0.487 0.487 0.763
0.487 0.763 0.487
0.487 0.763 0.763
0.500 0.000 0.000
0.513 0.237 0.237
0.513 0.237 0.513
0.513 0.513 0.237
0.677 0.203 0.677
0.677 0.203 0.943
0.677 0.677 0.203
0.677 0.677 0.943
0.677 0.943 0.203
0.677 0.943 0.677
0.763 0.487 0.487
0.763 0.487 0.763
0.763 0.763 0.487
0.797 0.057 0.323
0.797 0.323 0.057
0.797 0.323 0.323
0.943 0.203 0.677
0.943 0.677 0.203
0.943 0.677 0.677
0.000 0.500 0.500
0.500 0.000 0.500
0.500 0.500 0.000
0.500 0.500 0.500
```

Largest 12 diffraction maxima, by angle, 2θ = 10–90°:
2θ (°)  I_rel
20.6  58.8
35.5  43.4
37.1  49.7
39.8  45.1
41.3  89.8
41.8  100.0
43.8  20.9
45.2  22.7
54.4  25.6
68.0  26.6
75.1  44.7
78.8  23.6

The following is a computed powder diffraction line list of OsW2. It was derived from a crystal structure in the Materials Project, relaxed with PBE, using copper Kα.
Neutral-atom scattering factors, no anomalous dispersion.

Cell and atoms:
```
OsW2
1.0
9.713 0.000 0.000
0.000 9.713 0.000
0.000 0.000 5.005
Os W
10 20
Direct
0.000 0.000 0.000
0.069 0.264 0.000
0.236 0.569 0.500
0.264 0.069 0.000
0.431 0.764 0.500
0.500 0.500 0.500
0.569 0.236 0.500
0.736 0.931 0.000
0.764 0.431 0.500
0.931 0.736 0.000
0.037 0.369 0.500
0.104 0.104 0.500
0.131 0.537 0.000
0.181 0.819 0.250
0.181 0.819 0.750
0.319 0.319 0.250
0.319 0.319 0.750
0.369 0.037 0.500
0.396 0.604 0.000
0.463 0.869 0.000
0.537 0.131 0.000
0.604 0.396 0.000
0.631 0.963 0.500
0.681 0.681 0.250
0.681 0.681 0.750
0.819 0.181 0.250
0.819 0.181 0.750
0.869 0.463 0.000
0.896 0.896 0.500
0.963 0.631 0.500
```

Largest 12 diffraction maxima, by angle, 2θ = 10–90°:
2θ (°)  I_rel
35.9  21.1
38.2  87.0
39.4  38.4
40.6  30.6
41.7  68.5
42.4  100.0
43.5  50.1
46.8  14.1
67.6  18.4
69.0  24.0
70.6  17.9
88.5  16.4

The following is a computed powder diffraction line list of Zn3Os. It was derived from a crystal structure in the Materials Project, relaxed with PBE, using copper Kα.
Neutral-atom scattering factors, no anomalous dispersion.

Cell and atoms:
```
Zn3Os
1.0
-1.846 1.846 4.155
1.846 -1.846 4.155
1.846 1.846 -4.155
Zn Os
3 1
Direct
0.000 0.000 0.000
0.250 0.750 0.500
0.750 0.250 0.500
0.500 0.500 0.000
```

Largest 12 diffraction maxima, by angle, 2θ = 10–90°:
2θ (°)  I_rel
21.4  10.6
26.4  25.4
40.7  8.3
40.8  100.0
43.6  20.7
49.4  28.6
56.9  6.6
67.9  21.4
72.4  8.8
78.1  14.2
86.6  23.3
88.5  10.6

The following is a computed powder diffraction line list of ZrOs3. It was derived from a crystal structure in the Materials Project, relaxed with PBE, using copper Kα.
Neutral-atom scattering factors, no anomalous dispersion.

Cell and atoms:
```
ZrOs3
1.0
3.997 0.000 0.000
0.000 3.997 0.000
0.000 0.000 3.997
Zr Os
1 3
Direct
0.000 0.000 0.000
0.000 0.500 0.500
0.500 0.000 0.500
0.500 0.500 0.000
```

Largest 12 diffraction maxima, by angle, 2θ = 10–90°:
2θ (°)  I_rel
22.2  6.1
31.7  5.3
39.0  100.0
45.4  49.1
51.1  3.0
56.4  2.3
66.1  32.2
70.7  1.5
75.2  1.0
79.5  38.5
83.9  11.3
88.1  0.7

The following is a computed powder diffraction line list of TlPPbS4. It was derived from a crystal structure in the Materials Project, relaxed with PBE, using copper Kα.
Neutral-atom scattering factors, no anomalous dispersion.

Cell and atoms:
```
TlPPbS4
1.0
12.523 0.000 0.000
0.000 6.665 0.000
0.000 0.000 8.947
Tl P Pb S
4 4 4 16
Direct
0.108 0.250 0.129
0.392 0.750 0.629
0.608 0.250 0.371
0.892 0.750 0.871
0.153 0.750 0.373
0.347 0.250 0.873
0.653 0.750 0.127
0.847 0.250 0.627
0.130 0.250 0.605
0.370 0.750 0.105
0.630 0.250 0.895
0.870 0.750 0.395
0.050 0.750 0.195
0.069 0.750 0.572
0.248 0.004 0.863
0.248 0.496 0.863
0.252 0.504 0.363
0.252 0.996 0.363
0.431 0.250 0.072
0.450 0.250 0.695
0.550 0.750 0.305
0.569 0.750 0.928
0.748 0.004 0.637
0.748 0.496 0.637
0.752 0.504 0.137
0.752 0.996 0.137
0.931 0.250 0.428
0.950 0.250 0.805
```

Largest 12 diffraction maxima, by angle, 2θ = 10–90°:
2θ (°)  I_rel
19.5  100.0
21.1  29.3
25.0  75.7
26.8  44.3
28.5  22.3
29.3  62.0
32.3  49.4
34.3  52.8
39.5  38.1
40.1  24.6
43.6  22.3
45.1  27.5

The following is a computed powder diffraction line list of PPbW. It was derived from a crystal structure in the Materials Project, relaxed with PBE, using copper Kα.
Neutral-atom scattering factors, no anomalous dispersion.

Cell and atoms:
```
PPbW
1.0
0.000 3.307 3.307
3.307 0.000 3.307
3.307 3.307 0.000
P Pb W
1 1 1
Direct
0.000 0.000 0.000
0.250 0.250 0.250
0.500 0.500 0.500
```

Largest 9 diffraction maxima, by angle, 2θ = 10–90°:
2θ (°)  I_rel
23.3  88.2
38.5  100.0
45.5  47.3
55.6  17.4
61.1  20.0
69.6  35.9
74.5  15.1
82.5  11.6
87.2  15.8